(1)
# La2Sm3Mg2
Simulated XRD peak list, Cu Kα X-rays. Input: a structure optimized by DFT (PBE).

Most intense lines, 10 to 80 degrees two-theta, by angle:
2θ (°)  d_spacing  I_rel
23.70  3.754  24
24.79  3.592  24
29.30  3.048  41
30.75  2.908  100
33.06  2.710  48
33.57  2.669  78
39.19  2.299  22
58.52  1.577  37

Cell lengths 15.778, 15.778, 3.754 Å; angles 90.00, 90.00, 166.08 degrees
Positions (direct):
La1 0.206 0.794 0.000
La2 0.794 0.206 0.000
Sm1 0.078 0.922 0.000
Sm2 0.500 0.500 0.500
Sm3 0.922 0.078 0.000
Mg1 0.361 0.639 0.500
Mg2 0.639 0.361 0.500

***

(2)
# Ru3AuO12
Simulated XRD peak list, Cu Kα X-rays. Input: a structure optimized by DFT (PBE).

Most intense lines, 10 to 80 degrees two-theta, by angle:
2θ (°)  d_spacing  I_rel
12.78  6.929  100
16.44  5.392  19
21.60  4.113  63
25.72  3.464  32
26.69  3.340  63
33.59  2.668  16
50.80  1.797  19
56.97  1.616  17

Cell lengths 11.203, 11.203, 11.203 Å; angles 47.60, 47.60, 47.60 degrees
Positions (direct):
Ru1 0.018 0.368 0.614
Ru2 0.114 0.868 0.518
Ru3 0.368 0.614 0.018
Ru4 0.518 0.114 0.868
Ru5 0.614 0.018 0.368
Ru6 0.868 0.518 0.114
Au1 0.248 0.248 0.248
Au2 0.748 0.748 0.748
O1 0.033 0.386 0.436
O2 0.079 0.439 0.089
O3 0.089 0.079 0.439
O4 0.115 0.743 0.725
O5 0.225 0.243 0.615
O6 0.243 0.615 0.225
O7 0.267 0.808 0.877
O8 0.308 0.767 0.377
O9 0.377 0.308 0.767
O10 0.386 0.436 0.033
O11 0.436 0.033 0.386
O12 0.439 0.089 0.079
O13 0.533 0.936 0.886
O14 0.579 0.589 0.939
O15 0.589 0.939 0.579
O16 0.615 0.225 0.243
O17 0.725 0.115 0.743
O18 0.743 0.725 0.115
O19 0.767 0.377 0.308
O20 0.808 0.877 0.267
O21 0.877 0.267 0.808
O22 0.886 0.533 0.936
O23 0.936 0.886 0.533
O24 0.939 0.579 0.589

***

(3)
# RbLa2AgO5
Simulated XRD peak list, Cu Kα X-rays. Input: a structure optimized by DFT (PBE).

Most intense lines, 10 to 80 degrees two-theta, by angle:
2θ (°)  d_spacing  I_rel
28.55  3.126  12
29.48  3.030  100
32.21  2.779  32
36.35  2.472  18
41.48  2.177  25
47.45  1.916  16
52.26  1.750  16
54.04  1.697  14

Cell lengths 6.991, 6.991, 6.067 Å; angles 90.00, 90.00, 90.00 degrees
Positions (direct):
Rb1 0.000 0.000 0.000
Rb2 0.500 0.500 0.000
La1 0.181 0.319 0.500
La2 0.319 0.819 0.500
La3 0.681 0.181 0.500
La4 0.819 0.681 0.500
Ag1 0.000 0.500 0.000
Ag2 0.500 0.000 0.000
O1 0.000 0.000 0.500
O2 0.134 0.634 0.254
O3 0.134 0.634 0.746
O4 0.366 0.134 0.254
O5 0.366 0.134 0.746
O6 0.500 0.500 0.500
O7 0.634 0.866 0.254
O8 0.634 0.866 0.746
O9 0.866 0.366 0.254
O10 0.866 0.366 0.746